1.
Starting from DFT lattice parameters and positions (PBE), the XRD peak list of Zr8Bi2C3N3 was calculated for Cu Kα (λ = 1.5418 Å).
Intensities are scaled so that the largest is 100.

Peak list (10 most intense, 10° ≤ 2θ ≤ 80°, low angle first)
Position (°2θ)  Rel. int.
30.92  58
33.88  59
35.40  41
35.56  100
37.51  75
44.76  21
50.50  22
54.60  45
63.65  17
66.80  55

Crystal structure
```
Zr8Bi2C3N3
1.0
3.3618 0.0000 0.0000
-1.6809 2.9114 0.0000
0.0000 0.0000 25.3584
Zr Bi C N
8 2 3 3
direct
0.0000 0.0000 0.1508
0.0000 0.0000 0.3454
0.0000 0.0000 0.6546
0.0000 0.0000 0.8492
0.3333 0.6667 0.5516
0.3333 0.6667 0.9471
0.6667 0.3333 0.0529
0.6667 0.3333 0.4484
0.3333 0.6667 0.7520
0.6667 0.3333 0.2480
0.0000 0.0000 0.5000
0.3333 0.6667 0.3913
0.6667 0.3333 0.6087
0.0000 0.0000 0.0000
0.3333 0.6667 0.1023
0.6667 0.3333 0.8977
```

2.
Starting from DFT lattice parameters and positions (PBE), the XRD peak list of Nb4BiC2S was calculated for Cu Kα (λ = 1.5418 Å).
Intensities are scaled so that the largest is 100.

Peak list (10 most intense, 10° ≤ 2θ ≤ 80°, low angle first)
Position (°2θ)  Rel. int.
30.74  35
33.92  31
35.44  13
37.56  100
47.61  12
54.66  26
66.85  12
67.35  14
68.21  17
71.85  12

Crystal structure
```
Nb4BiC2S
1.0
3.3581 0.0000 0.0000
-1.6791 2.9082 0.0000
0.0000 0.0000 12.6630
Nb Bi C S
4 1 2 1
direct
0.0000 0.0000 0.1387
0.0000 0.0000 0.8613
0.6667 0.3333 0.3118
0.6667 0.3333 0.6882
0.0000 0.0000 0.5000
0.3333 0.6667 0.2300
0.3333 0.6667 0.7700
0.6667 0.3333 0.0000
```